Diffraction record for Tb2PmY3S6. The powder diffraction line list is theoretical, not measured: it uses a structure optimized by DFT (PBE) and Cu Kα (λ = 1.5418 Å).
Peak positions follow from Bragg's law for the DFT cell and can differ from measured ones.

Principal peaks in the range 15 to 90 degrees two-theta, most intense first:
Position (°2θ), Rel. int.
32.13, 100
27.73, 63
46.03, 36
46.13, 35
57.24, 18
54.59, 18
76.48, 15
54.69, 13
76.34, 10
85.33, 10

Crystal structure
```
data_Tb2PmY3S6
_symmetry_space_group_name_H-M 'C 1 2/m 1'
_symmetry_Int_Tables_number 12
_cell_length_a 6.8092
_cell_length_b 11.8399
_cell_length_c 6.8266
_cell_angle_alpha 90.00
_cell_angle_beta 109.47
_cell_angle_gamma 90.00
loop_
_symmetry_equiv_pos_as_xyz
'x,y,z'
'-x,-y,-z'
'-x,y,-z'
'x,-y,z'
'x+1/2,y+1/2,z'
'-x+1/2,-y+1/2,-z'
'-x+1/2,y+1/2,-z'
'x+1/2,-y+1/2,z'
loop_
_atom_site_label
_atom_site_type_symbol
_atom_site_fract_x
_atom_site_fract_y
_atom_site_fract_z
Tb1 Tb 0.0000 0.1662 0.0000
Pm1 Pm 0.0000 0.5000 0.0000
Y1 Y 0.0000 0.0000 0.5000
Y2 Y 0.0000 0.3362 0.5000
S1 S 0.2451 0.0000 0.2529
S2 S 0.2454 0.1697 0.7452
```


Diffraction record for Pm4Te3S2. The powder diffraction line list is theoretical, not measured: it uses a structure optimized by DFT (PBE) and Cu Kα (λ = 1.5418 Å).
Peak positions follow from Bragg's law for the DFT cell and can differ from measured ones.

Principal peaks in the range 15 to 90 degrees two-theta, most intense first:
Position (°2θ), Rel. int.
29.82, 100
31.61, 93
40.93, 93
28.96, 86
38.25, 74
33.20, 50
25.22, 43
44.66, 38
54.63, 36
28.40, 33

Crystal structure
```
data_Pm4Te3S2
_symmetry_space_group_name_H-M 'C 1 2/m 1'
_symmetry_Int_Tables_number 12
_cell_length_a 14.4358
_cell_length_b 4.0578
_cell_length_c 9.2973
_cell_angle_alpha 90.00
_cell_angle_beta 99.69
_cell_angle_gamma 90.00
loop_
_symmetry_equiv_pos_as_xyz
'x,y,z'
'-x,-y,-z'
'-x,y,-z'
'x,-y,z'
'x+1/2,y+1/2,z'
'-x+1/2,-y+1/2,-z'
'-x+1/2,y+1/2,-z'
'x+1/2,-y+1/2,z'
loop_
_atom_site_label
_atom_site_type_symbol
_atom_site_fract_x
_atom_site_fract_y
_atom_site_fract_z
Pm1 Pm 0.0755 0.0000 0.1814
Pm2 Pm 0.1650 0.5000 0.6085
Te1 Te 0.0000 0.0000 0.5000
Te2 Te 0.1030 0.5000 0.9145
S1 S 0.2021 0.5000 0.3152
```


Diffraction record for Pm2Te2S. The powder diffraction line list is theoretical, not measured: it uses a structure optimized by DFT (PBE) and Cu Kα (λ = 1.5418 Å).
Peak positions follow from Bragg's law for the DFT cell and can differ from measured ones.

Principal peaks in the range 15 to 90 degrees two-theta, most intense first:
Position (°2θ), Rel. int.
39.03, 100
27.45, 92
26.93, 83
40.93, 62
29.76, 56
21.88, 44
34.72, 42
35.38, 41
37.26, 35
56.52, 34

Crystal structure
```
data_Pm2Te2S
_symmetry_space_group_name_H-M 'I b a m'
_symmetry_Int_Tables_number 72
_symmetry_space_group_name_Hall '-I 2 2c'
_cell_length_a 8.1236
_cell_length_b 12.0096
_cell_length_c 6.4981
_cell_angle_alpha 90.00
_cell_angle_beta 90.00
_cell_angle_gamma 90.00
loop_
_atom_site_label
_atom_site_type_symbol
_atom_site_fract_x
_atom_site_fract_y
_atom_site_fract_z
Pm1 Pm 0.2322 0.1035 0.0000
Te1 Te 0.1296 0.3557 0.0000
S1 S 0.0000 0.0000 0.2500
```


Diffraction record for PmTlTeS. The powder diffraction line list is theoretical, not measured: it uses a structure optimized by DFT (PBE) and Cu Kα (λ = 1.5418 Å).
Peak positions follow from Bragg's law for the DFT cell and can differ from measured ones.

Principal peaks in the range 15 to 90 degrees two-theta, most intense first:
Position (°2θ), Rel. int.
35.14, 100
30.27, 99
25.33, 99
42.73, 63
62.68, 32
24.55, 27
56.48, 25
73.33, 23
53.26, 21
57.57, 19

Crystal structure
```
data_PmTlTeS
_symmetry_space_group_name_H-M 'R 3 m'
_symmetry_Int_Tables_number 160
_symmetry_space_group_name_Hall 'R 3 -2"'
_cell_length_a 4.2321
_cell_length_b 4.2321
_cell_length_c 24.9187
_cell_angle_alpha 90.00
_cell_angle_beta 90.00
_cell_angle_gamma 120.00
loop_
_atom_site_label
_atom_site_type_symbol
_atom_site_fract_x
_atom_site_fract_y
_atom_site_fract_z
Pm1 Pm 0.0000 0.0000 0.0000
Tl1 Tl 0.0000 0.0000 0.8418
Te1 Te 0.0000 0.0000 0.4175
S1 S 0.0000 0.0000 0.2760
```


Diffraction record for Pm5ThS7. The powder diffraction line list is theoretical, not measured: it uses a structure optimized by DFT (PBE) and Cu Kα (λ = 1.5418 Å).
Peak positions follow from Bragg's law for the DFT cell and can differ from measured ones.

Principal peaks in the range 15 to 90 degrees two-theta, most intense first:
Position (°2θ), Rel. int.
26.00, 100
26.72, 80
32.10, 64
45.76, 56
31.31, 54
32.55, 43
31.00, 42
28.07, 34
26.15, 31
53.81, 28

Crystal structure
```
data_Pm5ThS7
_symmetry_space_group_name_H-M 'C 1 m 1'
_symmetry_Int_Tables_number 8
_cell_length_a 13.3644
_cell_length_b 3.9636
_cell_length_c 23.5174
_cell_angle_alpha 90.00
_cell_angle_beta 91.75
_cell_angle_gamma 90.00
loop_
_symmetry_equiv_pos_as_xyz
'x,y,z'
'x,-y,z'
'x+1/2,y+1/2,z'
'x+1/2,-y+1/2,z'
loop_
_atom_site_label
_atom_site_type_symbol
_atom_site_fract_x
_atom_site_fract_y
_atom_site_fract_z
Pm1 Pm 0.0000 0.0000 0.0000
Pm2 Pm 0.0022 0.0000 0.5000
Pm3 Pm 0.0438 0.5000 0.8544
Pm4 Pm 0.0541 0.5000 0.6470
Pm5 Pm 0.2211 0.5000 0.4289
Pm6 Pm 0.2278 0.5000 0.0703
Pm7 Pm 0.2725 0.0000 0.9299
Pm8 Pm 0.2830 0.0000 0.5714
Pm9 Pm 0.4495 0.0000 0.3533
Pm10 Pm 0.4570 0.0000 0.1458
Th1 Th 0.2107 0.0000 0.2400
Th2 Th 0.2916 0.5000 0.7613
S1 S 0.0619 0.5000 0.2513
S2 S 0.0879 0.0000 0.3874
S3 S 0.1007 0.0000 0.1173
S4 S 0.1343 0.5000 0.9624
S5 S 0.1396 0.5000 0.5391
S6 S 0.1792 0.0000 0.8199
S7 S 0.1985 0.0000 0.6831
S8 S 0.3051 0.5000 0.3173
S9 S 0.3213 0.5000 0.1804
S10 S 0.3645 0.0000 0.4612
S11 S 0.3660 0.0000 0.0379
S12 S 0.3996 0.5000 0.8827
S13 S 0.4165 0.5000 0.6123
S14 S 0.4402 0.0000 0.7486
```


Diffraction record for Pm2YTh3S6. The powder diffraction line list is theoretical, not measured: it uses a structure optimized by DFT (PBE) and Cu Kα (λ = 1.5418 Å).
Peak positions follow from Bragg's law for the DFT cell and can differ from measured ones.

Principal peaks in the range 15 to 90 degrees two-theta, most intense first:
Position (°2θ), Rel. int.
31.49, 100
27.42, 43
44.84, 25
45.43, 24
26.72, 23
27.18, 22
44.53, 13
56.58, 12
65.74, 12
45.74, 12

Crystal structure
```
data_Pm2YTh3S6
_symmetry_space_group_name_H-M 'C 1 2/m 1'
_symmetry_Int_Tables_number 12
_cell_length_a 6.9311
_cell_length_b 11.9022
_cell_length_c 7.0492
_cell_angle_alpha 90.00
_cell_angle_beta 108.79
_cell_angle_gamma 90.00
loop_
_symmetry_equiv_pos_as_xyz
'x,y,z'
'-x,-y,-z'
'-x,y,-z'
'x,-y,z'
'x+1/2,y+1/2,z'
'-x+1/2,-y+1/2,-z'
'-x+1/2,y+1/2,-z'
'x+1/2,-y+1/2,z'
loop_
_atom_site_label
_atom_site_type_symbol
_atom_site_fract_x
_atom_site_fract_y
_atom_site_fract_z
Pm1 Pm 0.0000 0.1662 0.0000
Y1 Y 0.0000 0.5000 0.0000
Th1 Th 0.0000 0.0000 0.5000
Th2 Th 0.0000 0.3300 0.5000
S1 S 0.2436 0.3366 0.2412
S2 S 0.2446 0.5000 0.7540
```


Diffraction record for Pm6Ti3S14. The powder diffraction line list is theoretical, not measured: it uses a structure optimized by DFT (PBE) and Cu Kα (λ = 1.5418 Å).
Peak positions follow from Bragg's law for the DFT cell and can differ from measured ones.

Principal peaks in the range 15 to 90 degrees two-theta, most intense first:
Position (°2θ), Rel. int.
25.43, 100
37.01, 66
35.51, 53
40.20, 40
41.25, 34
23.28, 31
18.27, 28
50.22, 28
20.27, 27
34.34, 23

Crystal structure
```
data_Pm6Ti3S14
_symmetry_space_group_name_H-M 'P 3'
_symmetry_Int_Tables_number 143
_cell_length_a 10.1177
_cell_length_b 10.1177
_cell_length_c 5.8314
_cell_angle_alpha 90.00
_cell_angle_beta 90.00
_cell_angle_gamma 120.00
loop_
_symmetry_equiv_pos_as_xyz
'x,y,z'
'-y,x-y,z'
'-x+y,-x,z'
loop_
_atom_site_label
_atom_site_type_symbol
_atom_site_fract_x
_atom_site_fract_y
_atom_site_fract_z
Pm1 Pm 0.0264 0.5604 0.0000
Pm2 Pm 0.3047 0.1055 0.4998
Ti1 Ti 0.0000 0.0000 0.9154
Ti2 Ti 0.3333 0.6667 0.4105
Ti3 Ti 0.6667 0.3333 0.2758
S1 S 0.0000 0.0000 0.3034
S2 S 0.0852 0.8478 0.7691
S3 S 0.1831 0.4299 0.2635
S4 S 0.3333 0.6667 0.7982
S5 S 0.4248 0.1823 0.0379
S6 S 0.5123 0.4215 0.5044
```


Diffraction record for Pm7TlS5. The powder diffraction line list is theoretical, not measured: it uses a structure optimized by DFT (PBE) and Cu Kα (λ = 1.5418 Å).
Peak positions follow from Bragg's law for the DFT cell and can differ from measured ones.

Principal peaks in the range 15 to 90 degrees two-theta, most intense first:
Position (°2θ), Rel. int.
30.64, 100
28.88, 93
31.74, 64
29.41, 46
44.52, 43
27.24, 38
54.09, 37
44.71, 32
34.61, 22
54.52, 20

Crystal structure
```
data_Pm7TlS5
_symmetry_space_group_name_H-M 'C 1 2/m 1'
_symmetry_Int_Tables_number 12
_cell_length_a 13.4366
_cell_length_b 4.0541
_cell_length_c 24.3771
_cell_angle_alpha 90.00
_cell_angle_beta 90.02
_cell_angle_gamma 90.00
loop_
_symmetry_equiv_pos_as_xyz
'x,y,z'
'-x,-y,-z'
'-x,y,-z'
'x,-y,z'
'x+1/2,y+1/2,z'
'-x+1/2,-y+1/2,-z'
'-x+1/2,y+1/2,-z'
'x+1/2,-y+1/2,z'
loop_
_atom_site_label
_atom_site_type_symbol
_atom_site_fract_x
_atom_site_fract_y
_atom_site_fract_z
Pm1 Pm 0.0178 0.0000 0.2501
Pm2 Pm 0.0903 0.5000 0.3921
Pm3 Pm 0.0912 0.5000 0.1080
Pm4 Pm 0.1353 0.0000 0.9639
Pm5 Pm 0.1360 0.0000 0.5361
Pm6 Pm 0.1753 0.5000 0.8292
Pm7 Pm 0.1762 0.5000 0.6708
Tl1 Tl 0.2007 0.5000 0.2499
S1 S 0.0000 0.5000 0.0000
S2 S 0.0000 0.5000 0.5000
S3 S 0.0435 0.0000 0.6398
S4 S 0.0438 0.0000 0.8602
S5 S 0.2262 0.0000 0.0694
S6 S 0.2266 0.0000 0.4306
```


Diffraction record for PmTm4S6. The powder diffraction line list is theoretical, not measured: it uses a structure optimized by DFT (PBE) and Cu Kα (λ = 1.5418 Å).
Peak positions follow from Bragg's law for the DFT cell and can differ from measured ones.

Principal peaks in the range 15 to 90 degrees two-theta, most intense first:
Position (°2θ), Rel. int.
26.67, 100
32.89, 76
34.47, 58
46.78, 54
27.93, 49
44.41, 37
28.14, 34
31.90, 32
25.99, 31
47.61, 28

Crystal structure
```
data_PmTm4S6
_symmetry_space_group_name_H-M 'C m c m'
_symmetry_Int_Tables_number 63
_symmetry_space_group_name_Hall '-C 2c 2'
_cell_length_a 3.8199
_cell_length_b 12.6842
_cell_length_c 19.6625
_cell_angle_alpha 90.00
_cell_angle_beta 90.00
_cell_angle_gamma 90.00
loop_
_atom_site_label
_atom_site_type_symbol
_atom_site_fract_x
_atom_site_fract_y
_atom_site_fract_z
Pm1 Pm 0.0000 0.1529 0.2500
Tm1 Tm 0.0000 0.0922 0.6263
Tm2 Tm 0.0000 0.3617 0.5392
S1 S 0.0000 0.0000 0.0000
S2 S 0.0000 0.1839 0.7500
S3 S 0.0000 0.2684 0.0882
S4 S 0.0000 0.4530 0.6642
```


Diffraction record for Pm2TmS4. The powder diffraction line list is theoretical, not measured: it uses a structure optimized by DFT (PBE) and Cu Kα (λ = 1.5418 Å).
Peak positions follow from Bragg's law for the DFT cell and can differ from measured ones.

Principal peaks in the range 15 to 90 degrees two-theta, most intense first:
Position (°2θ), Rel. int.
25.56, 100
44.34, 57
40.56, 41
21.75, 30
61.63, 20
30.95, 15
51.88, 15
38.15, 14
81.59, 13
26.72, 10

Crystal structure
```
data_Pm2TmS4
_symmetry_space_group_name_H-M 'F d d d'
_symmetry_Int_Tables_number 70
_cell_length_a 11.5457
_cell_length_b 11.5541
_cell_length_c 11.5731
_cell_angle_alpha 90.00
_cell_angle_beta 90.00
_cell_angle_gamma 90.00
loop_
_symmetry_equiv_pos_as_xyz
'x,y,z'
'-x,-y,-z'
'-x+1/4,-y+1/4,z'
'x+1/4,y+1/4,-z'
'x,-y+1/4,-z+1/4'
'-x,y+1/4,z+1/4'
'-x+1/4,y,-z+1/4'
'x+1/4,-y,z+1/4'
'x,y+1/2,z+1/2'
'-x,-y+1/2,-z+1/2'
'-x+1/4,-y+3/4,z+1/2'
'x+1/4,y+3/4,-z+1/2'
'x,-y+3/4,-z+3/4'
'-x,y+3/4,z+3/4'
'-x+1/4,y+1/2,-z+3/4'
'x+1/4,-y+1/2,z+3/4'
'x+1/2,y,z+1/2'
'-x+1/2,-y,-z+1/2'
'-x+3/4,-y+1/4,z+1/2'
'x+3/4,y+1/4,-z+1/2'
'x+1/2,-y+1/4,-z+3/4'
'-x+1/2,y+1/4,z+3/4'
'-x+3/4,y,-z+3/4'
'x+3/4,-y,z+3/4'
'x+1/2,y+1/2,z'
'-x+1/2,-y+1/2,-z'
'-x+3/4,-y+3/4,z'
'x+3/4,y+3/4,-z'
'x+1/2,-y+3/4,-z+1/4'
'-x+1/2,y+3/4,z+1/4'
'-x+3/4,y+1/2,-z+1/4'
'x+3/4,-y+1/2,z+1/4'
loop_
_atom_site_label
_atom_site_type_symbol
_atom_site_fract_x
_atom_site_fract_y
_atom_site_fract_z
Pm1 Pm 0.0000 0.0000 0.0000
Tm1 Tm 0.1250 0.1250 0.6250
S1 S 0.0035 0.0037 0.2458
```


Diffraction record for PmTm3S4. The powder diffraction line list is theoretical, not measured: it uses a structure optimized by DFT (PBE) and Cu Kα (λ = 1.5418 Å).
Peak positions follow from Bragg's law for the DFT cell and can differ from measured ones.

Principal peaks in the range 15 to 90 degrees two-theta, most intense first:
Position (°2θ), Rel. int.
32.54, 100
46.68, 48
27.85, 43
28.32, 41
77.57, 21
54.98, 14
55.78, 13
57.54, 13
46.08, 12
58.58, 12

Crystal structure
```
data_PmTm3S4
_symmetry_space_group_name_H-M 'C m m m'
_symmetry_Int_Tables_number 65
_symmetry_space_group_name_Hall '-C 2 2'
_cell_length_a 7.8783
_cell_length_b 11.0127
_cell_length_c 3.8433
_cell_angle_alpha 90.00
_cell_angle_beta 90.00
_cell_angle_gamma 90.00
loop_
_atom_site_label
_atom_site_type_symbol
_atom_site_fract_x
_atom_site_fract_y
_atom_site_fract_z
Pm1 Pm 0.0000 0.0000 0.0000
Tm1 Tm 0.0000 0.5000 0.0000
Tm2 Tm 0.2500 0.2500 0.5000
S1 S 0.0000 0.2558 0.0000
S2 S 0.2379 0.5000 0.5000
```


Diffraction record for Pm3TmS6. The powder diffraction line list is theoretical, not measured: it uses a structure optimized by DFT (PBE) and Cu Kα (λ = 1.5418 Å).
Peak positions follow from Bragg's law for the DFT cell and can differ from measured ones.

Principal peaks in the range 15 to 90 degrees two-theta, most intense first:
Position (°2θ), Rel. int.
24.12, 100
26.63, 77
35.02, 69
40.82, 60
19.30, 50
34.47, 44
21.77, 41
24.63, 34
42.24, 30
41.46, 22

Crystal structure
```
data_Pm3TmS6
_symmetry_space_group_name_H-M 'R -3'
_symmetry_Int_Tables_number 148
_symmetry_space_group_name_Hall '-R 3'
_cell_length_a 11.6972
_cell_length_b 11.6972
_cell_length_c 13.7939
_cell_angle_alpha 90.00
_cell_angle_beta 90.00
_cell_angle_gamma 120.00
loop_
_atom_site_label
_atom_site_type_symbol
_atom_site_fract_x
_atom_site_fract_y
_atom_site_fract_z
Pm1 Pm 0.0489 0.7786 0.2022
Tm1 Tm 0.0000 0.0000 0.0000
Tm2 Tm 0.0000 0.0000 0.5000
S1 S 0.0224 0.8132 0.3997
S2 S 0.0311 0.8400 0.8789
```